(1)
Starting from a structure optimized by DFT (GGA-PBE), the powder X-ray diffraction pattern of Sc2VGeAs was computed for λ = 1.5418 Å (Cu Kα).

Main lines, most intense first (2θ from 10° to 80°):
d (Å), intensity
2.500, 100
5.000, 71
2.865, 70
1.748, 64
2.444, 47
3.535, 38
1.768, 33
1.432, 32
2.236, 18
2.196, 17

Crystal structure
abc: 4.9997 4.9997 4.8890
angles: 90.00 90.00 90.00
Fractional coordinates of all 5 atoms:
Sc1 0.0000 0.5000 0.0000
Sc2 0.5000 0.0000 0.0000
V1 0.0000 0.0000 0.5000
Ge1 0.5000 0.5000 0.0000
As1 0.5000 0.5000 0.5000

=====

(2)
Starting from a structure optimized by DFT (GGA-PBE), the powder X-ray diffraction pattern of Sm6Ge3AsSe2 was computed for λ = 1.5418 Å (Cu Kα).

Main lines, most intense first (2θ from 10° to 80°):
d (Å), intensity
2.986, 100
2.130, 38
2.093, 37
1.345, 17
3.428, 14
1.713, 13
1.493, 12
1.327, 11
1.215, 8
1.755, 7

Crystal structure
abc: 9.4956 9.4956 8.5300
angles: 104.30 104.30 25.44
Fractional coordinates of all 12 atoms:
Sm1 0.0008 0.0008 0.2529
Sm2 0.3336 0.3336 0.4208
Sm3 0.3347 0.3347 0.9126
Sm4 0.6653 0.6653 0.0874
Sm5 0.6664 0.6664 0.5792
Sm6 0.9992 0.9992 0.7471
Ge1 0.1676 0.1676 0.3330
Ge2 0.5000 0.5000 0.0000
Ge3 0.8324 0.8324 0.6670
As1 0.5000 0.5000 0.5000
Se1 0.1671 0.1671 0.8343
Se2 0.8329 0.8329 0.1657

=====

(3)
Starting from a structure optimized by DFT (GGA-PBE), the powder X-ray diffraction pattern of TlGe2AsSe6 was computed for λ = 1.5418 Å (Cu Kα).

Main lines, most intense first (2θ from 10° to 80°):
d (Å), intensity
4.418, 100
2.176, 47
2.361, 42
3.389, 41
4.528, 38
2.654, 38
2.837, 35
3.413, 32
3.019, 27
2.387, 27

Crystal structure
abc: 9.8077 9.8077 7.3124
angles: 111.56 111.56 76.17
Fractional coordinates of all 20 atoms:
Tl1 0.1523 0.8477 0.7500
Tl2 0.8477 0.1523 0.2500
Ge1 0.1594 0.3821 0.1362
Ge2 0.3821 0.1594 0.6362
Ge3 0.6179 0.8406 0.3638
Ge4 0.8406 0.6179 0.8638
As1 0.2363 0.7637 0.2500
As2 0.7637 0.2363 0.7500
Se1 0.1004 0.5651 0.8856
Se2 0.1707 0.2628 0.4140
Se3 0.2628 0.1707 0.9140
Se4 0.2947 0.5748 0.4192
Se5 0.4252 0.7053 0.0808
Se6 0.4349 0.8996 0.6144
Se7 0.5651 0.1004 0.3856
Se8 0.5748 0.2947 0.9192
Se9 0.7053 0.4252 0.5808
Se10 0.7372 0.8293 0.0860
Se11 0.8293 0.7372 0.5860
Se12 0.8996 0.4349 0.1144

=====

(4)
Starting from a structure optimized by DFT (GGA-PBE), the powder X-ray diffraction pattern of Si2GeAs4 was computed for λ = 1.5418 Å (Cu Kα).

Main lines, most intense first (2θ from 10° to 80°):
d (Å), intensity
3.134, 100
1.927, 39
1.627, 21
2.353, 18
1.904, 17
1.657, 13
3.038, 11
1.237, 9
1.250, 8
1.772, 8

Crystal structure
abc: 5.3845 5.3845 11.0412
angles: 90.00 90.00 90.00
Fractional coordinates of all 14 atoms:
Si1 0.0000 0.5000 0.2500
Si2 0.0000 0.5000 0.7500
Si3 0.5000 0.0000 0.2500
Si4 0.5000 0.0000 0.7500
Ge1 0.0000 0.0000 0.0000
Ge2 0.5000 0.5000 0.5000
As1 0.2168 0.2168 0.6155
As2 0.2168 0.7832 0.3845
As3 0.2832 0.2832 0.1155
As4 0.2832 0.7168 0.8845
As5 0.7168 0.2832 0.8845
As6 0.7168 0.7168 0.1155
As7 0.7832 0.2168 0.3845
As8 0.7832 0.7832 0.6155

=====

(5)
Starting from a structure optimized by DFT (GGA-PBE), the powder X-ray diffraction pattern of Sm4Ge2As was computed for λ = 1.5418 Å (Cu Kα).

Main lines, most intense first (2θ from 10° to 80°):
d (Å), intensity
2.848, 100
2.407, 60
1.767, 34
1.839, 18
1.461, 18
3.185, 16
1.390, 14
1.226, 11
3.677, 11
1.920, 9

Crystal structure
abc: 7.8007 7.8007 7.8007
angles: 109.43 109.43 109.56
Fractional coordinates of all 14 atoms:
Sm1 0.1244 0.2421 0.7481
Sm2 0.1263 0.7439 0.7519
Sm3 0.2561 0.0079 0.3823
Sm4 0.4939 0.3763 0.2519
Sm5 0.6237 0.8756 0.1177
Sm6 0.6256 0.8737 0.6177
Sm7 0.7579 0.5061 0.8823
Sm8 0.9921 0.3744 0.2481
Ge1 0.2493 0.6250 0.1243
Ge2 0.3750 0.4993 0.6243
Ge3 0.5007 0.1250 0.8757
Ge4 0.8750 0.7507 0.3757
As1 0.0000 0.0000 0.0000
As2 0.7500 0.2500 0.5000

=====

(6)
Starting from a structure optimized by DFT (GGA-PBE), the powder X-ray diffraction pattern of SrGeAs2 was computed for λ = 1.5418 Å (Cu Kα).

Main lines, most intense first (2θ from 10° to 80°):
d (Å), intensity
2.847, 100
2.813, 76
1.957, 59
3.607, 44
2.569, 32
2.727, 31
3.215, 31
2.741, 31
3.879, 29
2.937, 27

Crystal structure
abc: 7.8296 7.8296 14.5566
angles: 97.13 97.13 89.39
Fractional coordinates of all 32 atoms:
Sr1 0.1537 0.8164 0.6060
Sr2 0.1836 0.8463 0.8940
Sr3 0.2408 0.3393 0.8739
Sr4 0.3393 0.2408 0.3739
Sr5 0.6607 0.7592 0.6261
Sr6 0.7592 0.6607 0.1261
Sr7 0.8164 0.1537 0.1060
Sr8 0.8463 0.1836 0.3940
Ge1 0.0876 0.7064 0.3461
Ge2 0.2936 0.9124 0.1539
Ge3 0.2991 0.4178 0.1595
Ge4 0.4178 0.2991 0.6595
Ge5 0.5822 0.7009 0.3405
Ge6 0.7009 0.5822 0.8405
Ge7 0.7064 0.0876 0.8461
Ge8 0.9124 0.2936 0.6539
As1 0.0423 0.4294 0.2457
As2 0.0574 0.9426 0.2500
As3 0.1480 0.2198 0.5559
As4 0.2198 0.1480 0.0559
As5 0.3402 0.6362 0.0544
As6 0.3638 0.6599 0.4456
As7 0.4062 0.5938 0.7500
As8 0.4294 0.0423 0.7457
As9 0.5706 0.9577 0.2543
As10 0.5938 0.4062 0.2500
As11 0.6362 0.3402 0.5544
As12 0.6599 0.3638 0.9456
As13 0.7802 0.8520 0.9441
As14 0.8520 0.7802 0.4441
As15 0.9426 0.0574 0.7500
As16 0.9577 0.5706 0.7543